Entry 1:
Calculated powder X-ray diffraction pattern
Compound: CsAcSO4
Radiation: Cu Kα, 1.54184 Å
Structure: a DFT-relaxed cell (PBE, Alexandria)
Peak positions follow from Bragg's law for the DFT cell and can differ from measured ones.

Atomic structure:
Lattice parameters (Å, degrees): 9.5735 9.5735 9.5735 90.00 90.00 90.00
Space group F-43m (No. 216)
Inequivalent atoms, fractional coordinates:
1 Cs 0.0000 0.0000 0.0000 (multiplicity 4)
2 Ac 0.2500 0.2500 0.2500 (multiplicity 4)
3 S 0.0000 0.0000 0.5000 (multiplicity 4)
4 O 0.1094 0.1094 0.3906 (multiplicity 16)

Principal peaks in the range 2θ from 15° to 90°, in order of falling intensity:
d [Å], I (rel.), (hkl)
3.385, 100, 2 2 0
5.527, 85, 1 1 1
2.887, 45, 3 1 1
1.954, 42, 4 2 2
2.196, 29, 3 3 1
1.279, 22, 6 4 2
1.618, 19, 5 3 1
1.842, 19, 5 1 1


Entry 2:
Calculated powder X-ray diffraction pattern
Compound: Cs3Ac3ScO8
Radiation: Cu Kα, 1.54184 Å
Structure: a DFT-relaxed cell (PBE, Alexandria)
Peak positions follow from Bragg's law for the DFT cell and can differ from measured ones.

Atomic structure:
Lattice parameters (Å, degrees): 7.4853 7.4853 21.0931 90.00 90.00 120.00
Space group R-3m (No. 166, hexagonal axes)
Inequivalent atoms, fractional coordinates:
1 Cs 0.0000 0.5000 0.0000 (multiplicity 9)
2 Ac 0.0000 0.5000 0.5000 (multiplicity 9)
3 Sc 0.0000 0.0000 0.5000 (multiplicity 3)
4 O 0.0000 0.0000 0.2252 (multiplicity 6)
5 O 0.0351 0.5175 0.2192 (multiplicity 18)

Principal peaks in the range 2θ from 15° to 90°, in order of falling intensity:
d [Å], I (rel.), (hkl)
2.761, 100, 0 2 4
3.098, 90, 2 0 2
3.516, 47, 0 0 6
2.045, 36, 2 0 8
1.652, 34, 2 2 6
5.523, 34, 0 1 2
1.871, 33, 2 2 0
1.768, 24, 0 2 10


Entry 3:
Calculated powder X-ray diffraction pattern
Compound: CsAcSe3O6
Radiation: Cu Kα, 1.54184 Å
Structure: a DFT-relaxed cell (PBE, Alexandria)
Peak positions follow from Bragg's law for the DFT cell and can differ from measured ones.

Atomic structure:
Lattice parameters (Å, degrees): 8.7697 8.7697 11.1345 90.00 90.00 120.00
Space group R3 (No. 146, hexagonal axes)
Inequivalent atoms, fractional coordinates:
1 Cs 0.0000 0.0000 0.0000 (multiplicity 3)
2 Ac 0.0000 0.0000 0.3953 (multiplicity 3)
3 Se 0.1098 0.4124 0.3283 (multiplicity 9)
4 O 0.1177 0.4486 0.9135 (multiplicity 9)
5 O 0.1438 0.8015 0.4418 (multiplicity 9)

Principal peaks in the range 2θ from 15° to 90°, in order of falling intensity:
d [Å], I (rel.), (hkl)
2.551, 100, 1 2 2
4.385, 96, 1 1 0
2.833, 64, 1 1 3
3.137, 63, 2 0 2
3.712, 52, 0 0 3
4.490, 38, 0 1 2
2.780, 38, 3 -1 1
2.532, 37, 3 0 0


Entry 4:
Calculated powder X-ray diffraction pattern
Compound: CsAcTc2O7
Radiation: Cu Kα, 1.54184 Å
Structure: a DFT-relaxed cell (PBE, Alexandria)
Peak positions follow from Bragg's law for the DFT cell and can differ from measured ones.

Atomic structure:
Lattice parameters (Å, degrees): 3.9643 3.9643 10.9837 90.00 90.00 90.00
Space group P4/mmm (No. 123)
Inequivalent atoms, fractional coordinates:
1 Cs 0.0000 0.0000 0.0000 (multiplicity 1)
2 Ac 0.0000 0.0000 0.5000 (multiplicity 1)
3 Tc 0.5000 0.5000 0.3045 (multiplicity 2)
4 O 0.0000 0.5000 0.3317 (multiplicity 4)
5 O 0.5000 0.5000 0.1427 (multiplicity 2)
6 O 0.5000 0.5000 0.5000 (multiplicity 1)

Principal peaks in the range 2θ from 15° to 90°, in order of falling intensity:
d [Å], I (rel.), (hkl)
3.214, 100, 1 0 2
2.803, 40, 1 1 0
1.687, 31, 2 1 2
1.982, 22, 2 0 0
1.962, 17, 1 1 4
2.257, 16, 1 0 4
2.690, 12, 1 0 3
2.497, 12, 1 1 2


Entry 5:
Calculated powder X-ray diffraction pattern
Compound: CsAcU2O7
Radiation: Cu Kα, 1.54184 Å
Structure: a DFT-relaxed cell (PBE, Alexandria)
Peak positions follow from Bragg's law for the DFT cell and can differ from measured ones.

Atomic structure:
Lattice parameters (Å, degrees): 4.3346 4.3346 11.5463 90.00 90.00 90.00
Space group P4/mmm (No. 123)
Inequivalent atoms, fractional coordinates:
1 Cs 0.0000 0.0000 0.0000 (multiplicity 1)
2 Ac 0.0000 0.0000 0.5000 (multiplicity 1)
3 U 0.5000 0.5000 0.3086 (multiplicity 2)
4 O 0.0000 0.5000 0.3517 (multiplicity 4)
5 O 0.5000 0.5000 0.1421 (multiplicity 2)
6 O 0.5000 0.5000 0.5000 (multiplicity 1)

Principal peaks in the range 2θ from 15° to 90°, in order of falling intensity:
d [Å], I (rel.), (hkl)
3.466, 100, 1 0 2
3.065, 49, 1 1 0
1.838, 35, 2 1 2
2.879, 31, 1 0 3
2.167, 26, 2 0 0
1.370, 18, 3 1 0
1.732, 17, 2 1 3
2.401, 12, 1 0 4


Entry 6:
Calculated powder X-ray diffraction pattern
Compound: Cs3Ac3PaS8
Radiation: Cu Kα, 1.54184 Å
Structure: a DFT-relaxed cell (PBE, Alexandria)
Peak positions follow from Bragg's law for the DFT cell and can differ from measured ones.

Atomic structure:
Lattice parameters (Å, degrees): 8.7897 8.7897 24.6438 90.00 90.00 120.00
Space group R-3m (No. 166, hexagonal axes)
Inequivalent atoms, fractional coordinates:
1 Cs 0.0000 0.5000 0.0000 (multiplicity 9)
2 Ac 0.0000 0.5000 0.5000 (multiplicity 9)
3 Pa 0.0000 0.0000 0.5000 (multiplicity 3)
4 S 0.0000 0.0000 0.2305 (multiplicity 6)
5 S 0.0245 0.5122 0.2263 (multiplicity 18)

Principal peaks in the range 2θ from 15° to 90°, in order of falling intensity:
d [Å], I (rel.), (hkl)
3.238, 100, 0 2 4
3.637, 60, 2 0 2
2.394, 37, 2 0 8
2.197, 35, 2 2 0
4.107, 31, 0 0 6
1.938, 27, 2 2 6
2.069, 20, 0 2 10
1.818, 19, 4 0 4